# Fe2GeO5
Computed powder diffraction line list, Cu Ka. Input: the PBE+U geometry in Alexandria.

Main lines, by intensity (15 to 90 degrees two-theta):
2theta	I_rel
21.0	100.0
18.4	94.8
33.9	54.0
50.8	31.3
45.6	28.5
22.2	23.5
23.3	19.8
35.4	18.3
44.1	16.8
37.4	16.3

Structural model:
```
Fe2GeO5
1.0
4.023 -3.387 0.000
4.023 3.387 0.000
-2.638 0.000 4.238
Fe Ge O
2 1 5
Cartesian
4.023 1.883 0.000
4.023 -1.883 0.000
5.879 0.000 1.131
-0.243 0.000 1.279
6.017 1.570 0.215
4.062 0.000 0.563
5.525 0.000 2.903
6.017 -1.570 0.215
```